# 1
Structure and calculated powder XRD pattern of AgIrAu (a PBE-relaxed structure; Cu Kα (weighted mean of Kα1 and Kα2)).
Lines closer than 0.1° are merged.

The 6 most intense peaks (10° ≤ 2θ ≤ 80°), by angle:
(1 1 3), 38.5°, I = 100; (0 0 6), 41.6°, I = 20; (0 2 0), 46.2°, I = 15; (2 0 0), 46.4°, I = 15; (0 2 6), 63.9°, I = 11; (1 1 9), 73.9°, I = 15

Structure:
```
AgIrAu
1.0
3.915 0.000 0.000
0.000 3.929 0.000
0.000 0.000 13.012
Ag Ir Au
4 4 4
Cartesian
0.000 0.000 0.000
0.000 1.964 6.506
1.958 0.000 6.506
1.958 1.964 0.000
0.000 0.000 4.376
0.000 1.964 10.882
1.958 0.000 10.882
1.958 1.964 4.376
0.000 0.000 8.763
0.000 1.964 2.256
1.958 0.000 2.256
1.958 1.964 8.763
```

---

# 2
Structure and calculated powder XRD pattern of RbMnBiI6 (a PBE-relaxed structure; Cu Kα (weighted mean of Kα1 and Kα2)).
Lines closer than 0.1° are merged.

The 6 most intense peaks (10° ≤ 2θ ≤ 80°), by angle:
(0 0 1), 10.8°, I = 43; (1 0 1), 17.0°, I = 51; (2 -1 1), 25.2°, I = 100; (2 -1 2), 31.6°, I = 82; (3 0 0), 40.0°, I = 38; (1 1 3), 40.2°, I = 30

Structure:
```
RbMnBiI6
1.0
7.815 0.000 0.000
-3.907 6.768 0.000
0.000 0.000 8.227
Rb Mn Bi I
1 1 1 6
Cartesian
0.000 0.000 0.000
0.000 4.512 4.114
3.907 2.256 4.114
-1.339 2.575 5.841
-2.347 4.321 2.386
1.339 2.575 2.386
-1.008 6.640 5.841
2.347 4.321 5.841
1.008 6.640 2.386
```